Computed XRD peak list
Compound: Pm2Ge7Au12
Radiation: copper Kα
Structure: the PBE geometry in Alexandria

Atomic structure:
Cell: 10.1992 10.1992 4.6974 Å, 90.00 90.00 120.00°
Space group P-3 (No. 147)
One atom of each set of equivalent atoms:
Pm 0.3333 0.6667 0.2266 [2 per cell]
Ge 0.0000 0.0000 0.5000 [1 per cell]
Ge 0.1133 0.7252 0.6662 [6 per cell]
Au 0.0698 0.4621 0.7730 [6 per cell]
Au 0.1272 0.2677 0.1769 [6 per cell]

Main lines, in order of falling intensity (2θ = 10–80°):
2θ = 32.91°, I = 1000; 2θ = 41.58°, I = 154; 2θ = 47.15°, I = 147; 2θ = 38.32°, I = 144; 2θ = 47.32°, I = 132; 2θ = 44.72°, I = 128; 2θ = 35.20°, I = 115; 2θ = 78.49°, I = 90